No. 1
Structure and simulated powder diffractogram of NaTmNiSe3 (DFT lattice parameters and positions (GGA-PBE); copper Kα).
Lines closer than 0.1° are merged.

The 10 most intense peaks (10° ≤ 2θ ≤ 90°), sorted by position:
2θ = 11.01°, intensity 81
2θ = 17.49°, intensity 23
2θ = 24.65°, intensity 32
2θ = 30.89°, intensity 100
2θ = 33.83°, intensity 54
2θ = 39.59°, intensity 25
2θ = 44.77°, intensity 33
2θ = 46.28°, intensity 33
2θ = 46.64°, intensity 25
2θ = 57.28°, intensity 25

abc: 8.4397 8.4397 8.2808
angles: 103.62 103.62 27.76
Sites, in units of the cell vectors:
Na: 0.1328 0.1328 0.0684
Na: 0.8672 0.8672 0.9316
Tm: 0.1710 0.1710 0.5979
Tm: 0.8290 0.8290 0.4021
Ni: 0.4962 0.4962 0.3050
Ni: 0.5038 0.5038 0.6950
Se: 0.0000 0.0000 0.5000
Se: 0.3439 0.3439 0.1835
Se: 0.3461 0.3461 0.6487
Se: 0.5000 0.5000 0.0000
Se: 0.6539 0.6539 0.3513
Se: 0.6561 0.6561 0.8165

***

No. 2
Structure and simulated powder diffractogram of Tb2Lu2Zr (DFT lattice parameters and positions (GGA-PBE); copper Kα).
Lines closer than 0.1° are merged.

The 10 most intense peaks (10° ≤ 2θ ≤ 90°), sorted by position:
2θ = 23.53°, intensity 24
2θ = 29.58°, intensity 53
2θ = 31.24°, intensity 100
2θ = 31.60°, intensity 46
2θ = 33.63°, intensity 77
2θ = 37.19°, intensity 59
2θ = 39.38°, intensity 25
2θ = 48.13°, intensity 27
2θ = 53.53°, intensity 22
2θ = 63.16°, intensity 21

abc: 9.1830 9.1830 9.1830
angles: 141.60 141.60 55.43
Sites, in units of the cell vectors:
Tb: 0.0000 0.0000 0.0000
Tb: 0.0000 0.0000 0.5000
Tb: 0.0000 0.5000 0.0000
Tb: 0.5000 0.0000 0.5000
Lu: 0.1846 0.4346 0.7500
Lu: 0.4346 0.1846 0.2500
Lu: 0.5654 0.8154 0.7500
Lu: 0.8154 0.5654 0.2500
Zr: 0.3750 0.6250 0.7500
Zr: 0.6250 0.3750 0.2500

***

No. 3
Structure and simulated powder diffractogram of GdTlO3 (DFT lattice parameters and positions (GGA-PBE); copper Kα).
Lines closer than 0.1° are merged.

The 10 most intense peaks (10° ≤ 2θ ≤ 90°), sorted by position:
2θ = 21.16°, intensity 12
2θ = 29.62°, intensity 100
2θ = 30.58°, intensity 96
2θ = 43.09°, intensity 41
2θ = 47.85°, intensity 22
2θ = 51.96°, intensity 15
2θ = 53.76°, intensity 42
2θ = 54.35°, intensity 27
2θ = 63.65°, intensity 13
2θ = 71.75°, intensity 16

abc: 6.0369 6.0369 6.0369
angles: 57.94 57.94 57.94
Sites, in units of the cell vectors:
Gd: 0.1398 0.1398 0.1398
Gd: 0.8602 0.8602 0.8602
Tl: 0.3608 0.3608 0.3608
Tl: 0.6392 0.6392 0.6392
O: 0.0456 0.4596 0.7483
O: 0.2517 0.9544 0.5404
O: 0.4596 0.7483 0.0456
O: 0.5404 0.2517 0.9544
O: 0.7483 0.0456 0.4596
O: 0.9544 0.5404 0.2517